Structure and simulated powder diffraction line list of NdScAg (a structure optimized by DFT (PBE); a wavelength of 1.5418 Å).

Cell and atoms:
```
NdScAg
1.0
4.9149 0.0000 0.0000
-2.4574 4.2564 0.0000
0.0000 0.0000 3.7503
Nd Sc Ag
1 1 1
direct
0.0000 0.0000 0.0000 Nd
0.3333 0.6667 0.4985 Sc
0.6667 0.3333 0.5066 Ag
```

Top 6 peaks for 2θ = 10–90°, low angle first:
Position (°2θ)	intensity	hkl
20.87	20	1 0 0
31.80	100	0 1 1
36.57	58	1 1 0
49.23	29	2 0 1
62.28	23	1 1 2
62.86	27	1 2 1